Computed X-ray powder pattern
Compound: Cs2NaCr2F7
Radiation: λ = 1.5418 Å (Cu Kα)
Structure: a DFT-relaxed cell (GGA+U, Alexandria)
Kinematic intensities with the Lorentz-polarization factor, no thermal factor.

Crystal structure
abc: 4.390 4.390 11.617
angles: 100.87 100.87 89.99
Atoms (fractional coordinates):
Cs1 0.179 0.179 0.361
Cs2 0.821 0.821 0.639
Na1 0.000 0.000 0.000
Cr1 0.412 0.412 0.822
Cr2 0.588 0.588 0.178
F1 0.083 0.583 0.168
F2 0.321 0.321 0.640
F3 0.417 0.917 0.832
F4 0.500 0.500 0.000
F5 0.583 0.083 0.168
F6 0.679 0.679 0.360
F7 0.917 0.417 0.832

Top 8 peaks for 2θ = 10–90°, by angle:
Position (°2θ)  I/Imax
23.51  75
28.47  100
28.76  83
37.69  44
41.12  61
47.91  22
50.78  39
65.67  22